The following is a computed powder diffraction line list of Pa2Se4F. It was derived from the GGA-PBE geometry in Alexandria, using Cu Kα, 1.54184 Å.
Lines closer than 0.1° are merged.

Largest 12 diffraction maxima, by angle, 15 to 90 degrees two-theta:
- hkl 1 0 1, 24.7°, rel. 45
- hkl 2 -1 0, 25.6°, rel. 67
- hkl 2 1 -1, 25.7°, rel. 71
- hkl 0 0 2, 29.5°, rel. 100
- hkl 2 -2 0, 31.1°, rel. 94
- hkl 2 2 -2, 31.3°, rel. 93
- hkl 0 1 2, 38.8°, rel. 39
- hkl 2 -2 2, 43.4°, rel. 78
- hkl 2 2 0, 43.6°, rel. 77
- hkl 4 0 -2, 44.7°, rel. 77
- hkl 1 2 1, 45.0°, rel. 31
- hkl 4 0 0, 54.5°, rel. 73

Structural model:
```
data_Pa2Se4F
_chemical_formula_sum 'Pa4 Se8 F2'
_symmetry_space_group_name_H-M 'P -1'
_symmetry_Int_Tables_number 2
_cell_length_a 8.104
_cell_length_b 8.105
_cell_length_c 8.318
_cell_angle_alpha 118.89
_cell_angle_beta 118.95
_cell_angle_gamma 90.42
loop_
_symmetry_equiv_pos_as_xyz
'x,y,z'
'-x,-y,-z'
loop_
_atom_site_label
_atom_site_fract_x
_atom_site_fract_y
_atom_site_fract_z
Pa1 0.000 0.000 0.000
Pa2 0.000 0.000 0.500
Pa3 0.000 0.500 0.000
Pa4 0.500 0.000 0.500
Se1 0.227 0.235 0.966
Se2 0.231 0.739 0.466
Se3 0.235 0.227 0.466
Se4 0.261 0.769 0.034
F1 0.370 0.619 0.749
```